Structure and calculated PXRD pattern of Pr3Cu2Ge4Ir2 (DFT lattice parameters and positions (PBE); Cu Kα).

```
data_Pr3Cu2Ge4Ir2
_chemical_formula_sum 'Pr6 Cu4 Ge8 Ir4'
_space_group_name_H-M_alt 'I m m m'
_space_group_IT_number 71
_space_group_name_Hall '-I 2 2'
_cell_length_a 4.1672
_cell_length_b 4.2652
_cell_length_c 25.1974
_cell_angle_alpha 90.00
_cell_angle_beta 90.00
_cell_angle_gamma 90.00
loop_
_atom_site_label
_atom_site_type_symbol
_atom_site_fract_x
_atom_site_fract_y
_atom_site_fract_z
Pr1 Pr 0.0000 0.0000 0.0000
Pr2 Pr 0.0000 0.5000 0.1497
Cu1 Cu 0.0000 0.0000 0.2495
Ge1 Ge 0.0000 0.0000 0.4498
Ge2 Ge 0.0000 0.5000 0.3036
Ir1 Ir 0.0000 0.5000 0.4025
```

Top 6 peaks for 2θ from 10° to 80°, in order of rising 2θ:
2θ/deg, d_spacing, intensity, hkl
32.88, 2.724, 45, 1 0 7
33.25, 2.694, 100, 1 1 4
38.46, 2.341, 28, 0 1 9
42.38, 2.133, 30, 0 2 0
43.43, 2.084, 28, 2 0 0
44.92, 2.018, 26, 0 1 11